For MgTl2Cu2H2Se2O10, the PBE geometry in the Materials Project gives the computed XRD peak list in this record (Cu Kα X-rays).
Intensities are scaled so that the largest is 100.

Atomic structure:
```
MgTl2Cu2H2Se2O10
1.0
5.6040 0.0000 0.0000
0.0000 5.7805 0.0000
-1.3897 0.0000 10.2915
Mg Tl Cu H Se O
1 2 2 2 2 10
Direct
0.0000 0.0000 0.0000
0.5113 0.0000 0.1391
0.5615 0.5000 0.8131
0.6219 0.2723 0.4696
0.6219 0.7277 0.4696
0.3064 0.0000 0.3809
0.9421 0.5000 0.6094
0.0507 0.5000 0.1560
0.0678 0.0000 0.6768
0.2275 0.2399 0.6702
0.2275 0.7601 0.6702
0.2613 0.5000 0.0548
0.4500 0.5000 0.3723
0.4810 0.0000 0.3795
0.7646 0.5000 0.5969
0.8304 0.0000 0.5506
0.8758 0.2557 0.0946
0.8758 0.7443 0.0946
0.9330 0.0000 0.8145
```

Top 6 peaks for 2θ = 10–80°, most intense first:
Position (°2θ)	I/Imax
23.0	100
24.6	90
32.2	51
16.0	46
26.0	42
23.1	39